(1)
Diffraction record for Na3Np2SnS6. The powder diffractogram is computed, not measured: it uses the PBE geometry in Alexandria and Cu Kα (λ = 1.5418 Å).
No peak broadening, texture or thermal motion is included.

The 10 most intense peaks (2θ from 10° to 90°), sorted by position:
| d [Å] | I/Imax | hkl |
| --- | --- | --- |
| 6.607 | 100 | 2 0 -1 |
| 3.483 | 19 | 4 0 1 |
| 3.461 | 39 | 1 1 1 |
| 3.302 | 42 | 4 0 -2 |
| 2.875 | 71 | 1 1 -2 |
| 2.863 | 35 | 6 0 0 |
| 2.618 | 17 | 5 1 -1 |
| 2.041 | 26 | 5 1 2 |
| 2.018 | 37 | 0 2 0 |
| 1.651 | 19 | 6 2 0 |

Structural model:
Unit cell a=17.5953 b=4.0389 c=8.1896 alpha=90.00 beta=102.46 gamma=90.00
Space group C2/m (No. 12)
Symmetry-distinct sites (fractional):
Na 0.0000 0.0000 0.0000 [2 per cell]
Na 0.1608 0.5000 0.3357 [4 per cell]
Np 0.1670 0.5000 0.8352 [4 per cell]
Sn 0.0000 0.0000 0.5000 [2 per cell]
S 0.0113 0.5000 0.7559 [4 per cell]
S 0.1684 0.0000 0.6096 [4 per cell]
S 0.1733 0.0000 0.0678 [4 per cell]


(2)
Diffraction record for Ce2YC2. The powder diffractogram is computed, not measured: it uses the PBE geometry in Alexandria and Cu Kα (λ = 1.5418 Å).
No peak broadening, texture or thermal motion is included.

The 10 most intense peaks (2θ from 10° to 90°), sorted by position:
| d [Å] | I/Imax | hkl |
| --- | --- | --- |
| 2.971 | 100 | 3 1 0 |
| 2.614 | 23 | 0 2 0 |
| 2.577 | 21 | 4 0 -2 |
| 2.530 | 20 | 2 0 2 |
| 1.835 | 15 | 4 2 -2 |
| 1.818 | 15 | 2 2 2 |
| 1.570 | 15 | 3 3 0 |
| 1.531 | 7 | 5 1 2 |
| 1.488 | 7 | 2 2 -4 |
| 1.483 | 7 | 6 2 0 |

Structural model:
Unit cell a=11.4634 b=5.2286 c=7.2405 alpha=90.00 beta=109.47 gamma=90.00
Space group C2/m (No. 12)
Symmetry-distinct sites (fractional):
Ce 0.0021 0.0000 0.2405 [4 per cell]
Ce 0.1653 0.5000 0.0813 [4 per cell]
Y 0.1596 0.5000 0.5904 [4 per cell]
C 0.0039 0.5000 0.7539 [4 per cell]
C 0.1588 0.0000 0.0819 [4 per cell]


(3)
Diffraction record for SrTaBr2. The powder diffractogram is computed, not measured: it uses the PBE geometry in Alexandria and Cu Kα (λ = 1.5418 Å).
No peak broadening, texture or thermal motion is included.

The 10 most intense peaks (2θ from 10° to 90°), sorted by position:
| d [Å] | I/Imax | hkl |
| --- | --- | --- |
| 4.680 | 28 | 0 0 2 |
| 2.797 | 100 | 1 0 2 |
| 2.467 | 48 | 1 1 0 |
| 2.326 | 16 | 1 0 3 |
| 2.182 | 15 | 1 1 2 |
| 1.943 | 22 | 1 0 4 |
| 1.744 | 17 | 2 0 0 |
| 1.480 | 29 | 2 1 2 |
| 1.298 | 12 | 2 1 4 |
| 1.103 | 12 | 3 1 0 |

Structural model:
Unit cell a=3.4882 b=3.4882 c=9.3602 alpha=90.00 beta=90.00 gamma=90.00
Space group P4mm (No. 99)
Symmetry-distinct sites (fractional):
Sr 0.0000 0.0000 0.0000 [1 per cell]
Ta 0.5000 0.5000 0.2810 [1 per cell]
Br 0.0000 0.0000 0.4267 [1 per cell]
Br 0.5000 0.5000 0.8046 [1 per cell]


(4)
Diffraction record for Cs3NiHg2Cl9. The powder diffractogram is computed, not measured: it uses the PBE geometry in Alexandria and Cu Kα (λ = 1.5418 Å).
No peak broadening, texture or thermal motion is included.

The 10 most intense peaks (2θ from 10° to 90°), sorted by position:
| d [Å] | I/Imax | hkl |
| --- | --- | --- |
| 5.241 | 11 | 1 0 1 |
| 3.706 | 100 | 1 1 0 |
| 2.620 | 50 | 2 0 2 |
| 2.139 | 46 | 3 0 0 |
| 1.853 | 34 | 2 2 0 |
| 1.657 | 22 | 3 1 2 |
| 1.513 | 11 | 0 4 2 |
| 1.401 | 24 | 4 1 0 |
| 1.235 | 12 | 3 3 0 |
| 1.172 | 14 | 4 2 2 |

Structural model:
Unit cell a=7.4106 b=7.4106 c=9.0789 alpha=90.00 beta=90.00 gamma=120.00
Space group P-3m1 (No. 164)
Symmetry-distinct sites (fractional):
Cs 0.0000 0.0000 0.0000 [1 per cell]
Cs 0.3333 0.6667 0.6664 [2 per cell]
Ni 0.0000 0.0000 0.5000 [1 per cell]
Hg 0.3333 0.6667 0.1814 [2 per cell]
Cl 0.0000 0.5000 0.0000 [3 per cell]
Cl 0.1556 0.3112 0.3454 [6 per cell]